1.
The following is a theoretical powder X-ray diffraction pattern of CuHgSI. It was derived from a DFT-relaxed cell (GGA-PBE, OQMD), using Cu Kα (weighted mean of Kα1 and Kα2).
Lines closer than 0.1° are merged.

Top 12 peaks for 2θ from 10° to 90°, by angle:
two_theta, d (Å), I_rel, (hkl)
19.33, 4.591, 237, 2 0 1
24.69, 3.605, 568, 1 1 1
26.60, 3.351, 136, 0 0 3
28.00, 3.187, 177, 1 0 3
28.95, 3.085, 236, 2 1 1
32.88, 2.724, 1000, 2 1 2
34.77, 2.580, 269, 4 0 0
35.73, 2.513, 203, 0 0 4
37.47, 2.400, 167, 3 0 3
43.46, 2.082, 237, 0 2 0
56.82, 1.620, 137, 4 2 0
57.49, 1.603, 140, 0 2 4

```
data_CuHgSI
_chemical_formula_sum 'Cu4 Hg4 S4 I4'
_space_group_name_H-M_alt 'P m m a'
_space_group_IT_number 51
_cell_length_a 10.3208
_cell_length_b 4.1649
_cell_length_c 10.0523
_cell_angle_alpha 90.00
_cell_angle_beta 90.00
_cell_angle_gamma 90.00
loop_
_space_group_symop_operation_xyz
'x,y,z'
'-x,-y,-z'
'-x+1/2,-y,z'
'x+1/2,y,-z'
'x+1/2,-y,-z'
'-x+1/2,y,z'
'-x,y,-z'
'x,-y,z'
loop_
_atom_site_label
_atom_site_type_symbol
_atom_site_fract_x
_atom_site_fract_y
_atom_site_fract_z
_atom_site_occupancy
Cu1 Cu 0.0698 0.0000 0.2130 1
Hg1 Hg 0.0000 0.5000 0.5000 1
Hg2 Hg 0.2500 0.5000 0.7797 1
S1 S 0.0133 0.5000 0.7461 1
I1 I 0.2500 0.0000 0.0272 1
I2 I 0.2500 0.0000 0.4462 1
```


2.
The following is a theoretical powder X-ray diffraction pattern of DyHf2In3Ir2. It was derived from a DFT-relaxed cell (GGA-PBE, OQMD), using Cu Kα (weighted mean of Kα1 and Kα2).
Lines closer than 0.1° are merged.

Top 12 peaks for 2θ from 10° to 90°, by angle:
two_theta, d (Å), I_rel, (hkl)
13.32, 6.648, 194, 0 2 0
13.49, 6.563, 154, 0 1 1
35.75, 2.511, 1000, 1 3 1
35.97, 2.497, 649, 1 0 2
36.35, 2.471, 241, 0 1 3
38.23, 2.354, 216, 1 4 0
38.49, 2.339, 555, 1 2 2
41.27, 2.188, 140, 0 3 3
49.89, 1.828, 116, 0 5 3
55.06, 1.668, 158, 2 0 0
57.12, 1.612, 103, 1 7 1
67.75, 1.383, 159, 1 8 2

```
data_DyHf2In3Ir2
_chemical_formula_sum 'Dy2 Hf4 In6 Ir4'
_space_group_name_H-M_alt 'A m m 2'
_space_group_IT_number 38
_cell_length_a 3.3355
_cell_length_b 13.2958
_cell_length_c 7.5460
_cell_angle_alpha 90.00
_cell_angle_beta 90.00
_cell_angle_gamma 90.00
loop_
_space_group_symop_operation_xyz
'x,y,z'
'-x,-y,z'
'-x,y,z'
'x,-y,z'
'x,y+1/2,z+1/2'
'-x,-y+1/2,z+1/2'
'-x,y+1/2,z+1/2'
'x,-y+1/2,z+1/2'
loop_
_atom_site_label
_atom_site_type_symbol
_atom_site_fract_x
_atom_site_fract_y
_atom_site_fract_z
_atom_site_occupancy
Dy1 Dy 0.0000 0.0000 0.0000 1
Hf1 Hf 0.0000 0.2123 0.6317 1
In1 In 0.5000 0.0000 0.6474 1
In2 In 0.5000 0.1169 0.3066 1
Ir1 Ir 0.5000 0.1740 0.9154 1
```


3.
The following is a theoretical powder X-ray diffraction pattern of La2Sm2C2I5. It was derived from a DFT-relaxed cell (GGA-PBE, OQMD), using Cu Kα (weighted mean of Kα1 and Kα2).
Lines closer than 0.1° are merged.

Top 12 peaks for 2θ from 10° to 90°, by angle:
two_theta, d (Å), I_rel, (hkl)
10.20, 8.669, 222, 0 0 1
26.51, 3.363, 222, 3 1 -1
27.06, 3.295, 632, 6 0 0
28.74, 3.106, 223, 3 1 1
29.69, 3.009, 1000, 1 1 -2
31.50, 2.840, 187, 5 1 0
32.32, 2.770, 142, 4 0 -3
34.17, 2.624, 145, 2 0 3
40.61, 2.222, 874, 5 1 2
44.27, 2.046, 189, 0 2 0
52.65, 1.738, 197, 6 2 0
64.48, 1.445, 134, 11 1 2

```
data_La2Sm2C2I5
_chemical_formula_sum 'La4 Sm4 C4 I10'
_space_group_name_H-M_alt 'C 1 2/m 1'
_space_group_IT_number 12
_cell_length_a 20.2536
_cell_length_b 4.0924
_cell_length_c 8.8802
_cell_angle_alpha 90.00
_cell_angle_beta 102.53
_cell_angle_gamma 90.00
loop_
_space_group_symop_operation_xyz
'x,y,z'
'-x,-y,-z'
'-x,y,-z'
'x,-y,z'
'x+1/2,y+1/2,z'
'-x+1/2,-y+1/2,-z'
'-x+1/2,y+1/2,-z'
'x+1/2,-y+1/2,z'
loop_
_atom_site_label
_atom_site_type_symbol
_atom_site_fract_x
_atom_site_fract_y
_atom_site_fract_z
_atom_site_occupancy
La1 La 0.0005 0.0000 0.3081 1
Sm1 Sm 0.1492 0.5000 0.5792 1
C1 C 0.0353 0.5000 0.5183 1
I1 I 0.0000 0.5000 0.0000 1
I2 I 0.1640 0.0000 0.8498 1
I3 I 0.1700 0.0000 0.3214 1
```


4.
The following is a theoretical powder X-ray diffraction pattern of Cu2Ag3. It was derived from a DFT-relaxed cell (GGA-PBE, OQMD), using Cu Kα (weighted mean of Kα1 and Kα2).
Lines closer than 0.1° are merged.

Top 12 peaks for 2θ from 10° to 90°, by angle:
two_theta, d (Å), I_rel, (hkl)
34.29, 2.615, 177, 0 1 4
38.94, 2.313, 839, 0 1 5
39.85, 2.262, 116, 1 0 4
39.99, 2.255, 1000, 1 1 0
44.01, 2.058, 648, 1 0 5
49.51, 1.841, 262, 0 2 0
65.45, 1.426, 107, 2 0 0
68.37, 1.372, 291, 1 2 5
70.72, 1.332, 82, 1 1 9
76.82, 1.241, 90, 1 1 10
78.86, 1.214, 192, 2 1 5
86.29, 1.127, 199, 2 2 0

```
data_Cu2Ag3
_chemical_formula_sum 'Cu4 Ag6'
_space_group_name_H-M_alt 'P m m m'
_space_group_IT_number 47
_cell_length_a 2.8519
_cell_length_b 3.6821
_cell_length_c 14.8610
_cell_angle_alpha 90.00
_cell_angle_beta 90.00
_cell_angle_gamma 90.00
loop_
_space_group_symop_operation_xyz
'x,y,z'
'-x,-y,-z'
'-x,-y,z'
'x,y,-z'
'x,-y,-z'
'-x,y,z'
'-x,y,-z'
'x,-y,z'
loop_
_atom_site_label
_atom_site_type_symbol
_atom_site_fract_x
_atom_site_fract_y
_atom_site_fract_z
_atom_site_occupancy
Cu1 Cu 0.0000 0.0000 0.0955 1
Cu2 Cu 0.5000 0.5000 0.1792 1
Ag1 Ag 0.0000 0.0000 0.2751 1
Ag2 Ag 0.0000 0.0000 0.5000 1
Ag3 Ag 0.5000 0.5000 0.0000 1
Ag4 Ag 0.5000 0.5000 0.3874 1
```